The following is a computed powder X-ray diffraction pattern of ZnNi2O4. It was derived from the PBE+U geometry in the Materials Project, using copper Kα.

Peak list (10 most intense, 10 to 90 degrees two-theta, in order of rising 2θ)
2θ/deg	I (rel.)
18.51	14
30.31	29
30.64	19
35.48	48
35.55	14
36.02	100
36.10	17
43.88	18
58.01	27
63.00	25

Atomic structure:
abc: 5.831 5.840 5.881
angles: 119.55 119.60 90.05
Space group P-1 (No. 2)
Symmetry-distinct sites (fractional):
Zn  0.121  0.379  0.253 [2 per cell]
Ni  0.000  0.000  0.500 [1 per cell]
Ni  0.500  0.000  0.000 [1 per cell]
Ni  0.500  0.000  0.500 [1 per cell]
Ni  0.500  0.500  0.000 [1 per cell]
O  0.253  0.224  0.511 [2 per cell]
O  0.255  0.791  0.545 [2 per cell]
O  0.267  0.264  0.991 [2 per cell]
O  0.293  0.765  0.031 [2 per cell]


The following is a computed powder X-ray diffraction pattern of Na5Fe3F14. It was derived from the PBE+U geometry in the Materials Project, using copper Kα.

Peak list (10 most intense, 10 to 90 degrees two-theta, in order of rising 2θ)
2θ/deg	I (rel.)
14.34	26
17.24	29
23.03	37
27.23	16
28.91	100
36.94	15
47.06	39
48.63	32
56.18	27
58.93	16

Atomic structure:
abc: 7.724 7.724 10.288
angles: 90.00 90.00 90.00
Space group P4_22_12 (No. 94)
Symmetry-distinct sites (fractional):
Na  0.000  0.000  0.000 [2 per cell]
Na  0.227  0.237  0.260 [8 per cell]
Fe  0.000  0.000  0.500 [2 per cell]
Fe  0.000  0.500  0.497 [4 per cell]
F  0.000  0.000  0.313 [4 per cell]
F  0.002  0.309  0.871 [8 per cell]
F  0.003  0.249  0.490 [8 per cell]
F  0.005  0.684  0.128 [8 per cell]


The following is a computed powder X-ray diffraction pattern of RbFeF4. It was derived from the PBE+U geometry in the Materials Project, using copper Kα.

Peak list (10 most intense, 10 to 90 degrees two-theta, in order of rising 2θ)
2θ/deg	I (rel.)
26.33	100
27.21	29
32.03	35
34.90	16
35.58	9
45.92	28
47.55	31
53.71	26
54.20	16
68.25	19

Atomic structure:
abc: 3.952 3.952 6.555
angles: 90.00 90.00 90.00
Space group P4/mmm (No. 123)
Symmetry-distinct sites (fractional):
Rb  0.000  0.000  0.000 [1 per cell]
Fe  0.500  0.500  0.500 [1 per cell]
F  0.000  0.500  0.500 [2 per cell]
F  0.500  0.500  0.207 [2 per cell]


The following is a computed powder X-ray diffraction pattern of MgFe4Te2O12. It was derived from the PBE+U geometry in the Materials Project, using copper Kα.

Peak list (10 most intense, 10 to 90 degrees two-theta, in order of rising 2θ)
2θ/deg	I (rel.)
20.84	25
26.21	100
32.73	13
34.65	69
37.40	21
51.90	67
53.93	21
65.71	21
66.83	17
78.12	10

Atomic structure:
abc: 4.805 9.217 4.812
angles: 90.00 90.03 90.00
Space group P2 (No. 3)
Symmetry-distinct sites (fractional):
Mg  0.000  0.000  0.000 [1 per cell]
Fe  0.000  0.096  0.500 [1 per cell]
Fe  0.000  0.415  0.500 [1 per cell]
Fe  0.500  0.585  0.000 [1 per cell]
Fe  0.500  0.904  0.000 [1 per cell]
Te  0.000  0.740  0.500 [1 per cell]
Te  0.500  0.262  0.000 [1 per cell]
O  0.185  0.905  0.690 [2 per cell]
O  0.195  0.583  0.693 [2 per cell]
O  0.208  0.260  0.711 [2 per cell]
O  0.290  0.742  0.206 [2 per cell]
O  0.308  0.098  0.185 [2 per cell]
O  0.312  0.422  0.189 [2 per cell]